Computed powder X-ray diffraction pattern
Compound: NpTl4Te5
Radiation: λ = 1.5418 Å (Cu Kα)
Structure: a crystal structure in Alexandria, relaxed with GGA-PBE

Structure:
Cell lengths 8.1781, 8.1781, 8.1781 Å; angles 98.47, 98.47, 134.88 degrees
Atoms (fractional coordinates):
Np (0.0000, 0.0000, 0.0000)
Tl (0.1950, 0.6009, 0.7959)
Tl (0.3991, 0.1950, 0.5940)
Tl (0.6009, 0.8050, 0.4060)
Tl (0.8050, 0.3991, 0.2041)
Te (0.0926, 0.2700, 0.3626)
Te (0.2700, 0.9074, 0.1773)
Te (0.5000, 0.5000, 0.0000)
Te (0.7300, 0.0926, 0.8227)
Te (0.9074, 0.7300, 0.6374)

Main lines, in order of rising 2θ (2θ = 10–90°):
- d 3.801, I = 19
- d 3.377, I = 100
- d 3.138, I = 44
- d 2.388, I = 38
- d 2.299, I = 71
- d 1.900, I = 38
- d 1.423, I = 16
- d 1.361, I = 22